This entry pairs a crystal structure of Rb2FeBiF6 with its simulated powder diffractogram. Radiation: a wavelength of 1.5418 Å. Structure: the PBE+U geometry in Alexandria.
Kinematic intensities with the Lorentz-polarization factor, no thermal factor.

Structural model:
a b c (Å): 6.703 6.703 6.703
angles (deg): 124.19 124.19 82.88
Element x y z (fractional)
Rb: 0.250 0.750 0.500
Rb: 0.750 0.250 0.500
Fe: 0.000 0.000 0.000
Bi: 0.500 0.500 0.000
F: 0.199 0.199 0.000
F: 0.242 0.242 0.485
F: 0.242 0.758 0.000
F: 0.758 0.242 0.000
F: 0.758 0.758 0.515
F: 0.801 0.801 0.000

Principal peaks in the range 5 to 70 degrees two-theta, by angle:
| 2θ (°) | d/Å | I_rel |
| --- | --- | --- |
| 16.66 | 5.322 | 28.6 |
| 26.81 | 3.325 | 100.0 |
| 28.46 | 3.137 | 41.4 |
| 30.25 | 2.955 | 13.7 |
| 35.74 | 2.512 | 20.0 |
| 40.68 | 2.218 | 30.4 |
| 46.30 | 1.961 | 19.4 |
| 49.39 | 1.845 | 38.0 |
| 55.25 | 1.663 | 21.5 |
| 58.92 | 1.568 | 23.1 |